This entry pairs a crystal structure of AcErIrRu with its calculated PXRD pattern. Radiation: Cu Kα (weighted mean of Kα1 and Kα2). Structure: a GGA-PBE-relaxed structure.
Intensities are scaled so that the largest is 100.

Atomic structure:
abc: 5.012 5.012 5.012
angles: 60.00 60.00 60.00
Atoms (fractional coordinates):
Ac1 0.000 0.000 0.000
Er1 0.500 0.500 0.500
Ir1 0.250 0.250 0.250
Ru1 0.750 0.750 0.750

The 10 most intense peaks (2θ from 15° to 90°), by angle:
2θ (°)	I_rel
21.72	5.0
25.13	2.3
35.83	100.0
42.29	2.9
51.57	17.9
56.60	1.3
64.39	36.9
75.94	11.5
80.09	1.0
86.92	16.8